Diffraction record for MnCrHO2. The powder diffractogram is calculated, not measured: it uses a crystal structure in Alexandria, relaxed with PBE+U and λ = 1.5418 Å (Cu Kα).
No peak broadening, texture or thermal motion is included.

Cell and atoms:
```
5
Lattice="2.696 -1.557 0.000 2.696 1.557 0.000 -0.006 0.000 5.948" Properties=species:S:1:pos:R:3 pbc="T T T"
Mn 0.000 0.000 0.000
Cr 1.801 0.000 3.169
H 1.798 0.000 0.339
O 0.004 0.000 2.222
O 3.598 0.000 4.281
```

Largest 10 diffraction maxima, sorted by position, 2θ from 10° to 80°:
two_theta	I_rel
14.89	8
30.05	32
33.22	22
36.59	100
45.40	39
57.71	33
59.36	27
67.96	16
71.79	12
77.77	6